Entry 1:
Computed powder diffractogram
Compound: CaNdAu2
Radiation: Cu Kα, 1.54184 Å
Structure: a GGA-PBE-relaxed structure
Peak positions follow from Bragg's law for the DFT cell and can differ from measured ones.

Largest 10 diffraction maxima, in order of falling intensity, 2θ = 10–80°:
hkl, 2θ/deg, Rel. int.
2 2 0, 34.5, 1000
4 2 2, 61.8, 372
4 0 0, 49.6, 180
2 0 0, 24.2, 151
4 4 0, 72.8, 116
1 1 1, 20.9, 70
4 2 0, 55.9, 69
2 2 2, 42.6, 50
3 1 1, 40.7, 39
6 0 0, 78.0, 35

Structural model:
```
CaNdAu2
1.0
7.352 0.000 0.000
0.000 7.352 0.000
0.000 0.000 7.352
Ca Nd Au
4 4 8
Direct
0.000 0.000 0.000
0.000 0.500 0.500
0.500 0.000 0.500
0.500 0.500 0.000
0.000 0.000 0.500
0.000 0.500 0.000
0.500 0.000 0.000
0.500 0.500 0.500
0.250 0.250 0.250
0.250 0.250 0.750
0.250 0.750 0.250
0.250 0.750 0.750
0.750 0.250 0.250
0.750 0.250 0.750
0.750 0.750 0.250
0.750 0.750 0.750
```



Entry 2:
Computed powder diffractogram
Compound: Pb2SeS
Radiation: Cu Kα, 1.54184 Å
Structure: a GGA-PBE-relaxed structure
Peak positions follow from Bragg's law for the DFT cell and can differ from measured ones.

Largest 10 diffraction maxima, in order of falling intensity, 2θ = 10–80°:
hkl, 2θ/deg, Rel. int.
1 1 0, 29.2, 1000
2 0 0, 41.7, 767
1 0 1, 25.2, 595
2 0 2, 51.7, 275
3 1 0, 68.6, 239
2 1 1, 49.4, 213
3 1 2, 76.2, 180
3 0 1, 66.6, 136
1 1 4, 68.4, 120
1 0 3, 49.3, 107

Structural model:
```
Pb2SeS
1.0
4.325 0.000 0.000
0.000 4.325 0.000
0.000 0.000 6.136
Pb Se S
2 1 1
Direct
0.000 0.000 0.000
0.500 0.500 0.500
0.000 0.000 0.500
0.500 0.500 0.000
```